(1)
CsRbMg6: calculated X-ray powder pattern (Cu Kα, 1.54184 Å), based on a PBE-relaxed structure.
Neutral-atom scattering factors, no anomalous dispersion.

Cell and atoms:
```
data_CsRbMg6
_symmetry_space_group_name_H-M 'A m m 2'
_symmetry_Int_Tables_number 38
_symmetry_space_group_name_Hall 'A 2 -2'
_cell_length_a 5.5493
_cell_length_b 6.3713
_cell_length_c 16.7236
_cell_angle_alpha 90.00
_cell_angle_beta 90.00
_cell_angle_gamma 90.00
loop_
_atom_site_label
_atom_site_type_symbol
_atom_site_fract_x
_atom_site_fract_y
_atom_site_fract_z
_atom_site_occupancy
Cs1 Cs 0.0000 0.0000 0.0000 1
Rb1 Rb 0.0000 0.0000 0.4989 1
Mg1 Mg 0.0000 0.2489 0.2401 1
Mg2 Mg 0.5000 0.0000 0.1807 1
Mg3 Mg 0.5000 0.0000 0.6761 1
Mg4 Mg 0.5000 0.2464 0.3404 1
```

Most intense lines, 10 to 90 degrees two-theta, by angle:
2theta	I/Imax	index
10.58	42	0 0 2
15.97	42	1 0 0
19.20	100	1 0 2
21.25	44	0 0 4
26.69	94	1 0 4
30.02	50	0 2 2
32.26	39	2 0 0
34.18	83	1 2 2
44.64	33	2 2 2
46.27	29	1 2 6


(2)
K2BiI5O15: calculated X-ray powder pattern (Cu Kα, 1.54184 Å), based on a PBE-relaxed structure.
Neutral-atom scattering factors, no anomalous dispersion.

Cell and atoms:
```
data_K2BiI5O15
_symmetry_space_group_name_H-M 'A e m 2'
_symmetry_Int_Tables_number 39
_symmetry_space_group_name_Hall 'A 2 -2b'
_cell_length_a 8.3920
_cell_length_b 23.4776
_cell_length_c 8.3907
_cell_angle_alpha 90.00
_cell_angle_beta 90.00
_cell_angle_gamma 90.00
loop_
_atom_site_label
_atom_site_type_symbol
_atom_site_fract_x
_atom_site_fract_y
_atom_site_fract_z
_atom_site_occupancy
K1 K 0.0000 0.0000 0.0000 1
K2 K 0.4884 0.2500 0.4878 1
Bi1 Bi 0.5000 0.0000 0.0792 1
I1 I 0.0534 0.2500 0.0271 1
I2 I 0.2474 0.1358 0.7184 1
I3 I 0.2655 0.1046 0.2322 1
O1 O 0.0645 0.0773 0.2559 1
O2 O 0.1020 0.2500 0.8119 1
O3 O 0.1880 0.1919 0.0843 1
O4 O 0.1993 0.1674 0.5241 1
O5 O 0.2885 0.0629 0.6482 1
O6 O 0.3049 0.0791 0.0266 1
O7 O 0.3814 0.0420 0.3140 1
O8 O 0.4466 0.1659 0.7441 1
```

Most intense lines, 10 to 90 degrees two-theta, by angle:
2theta	I/Imax	index
12.97	30	1 2 0
21.18	16	0 0 2
24.17	10	1 5 1
24.91	12	1 2 2
26.11	100	2 4 0
30.12	23	2 0 2
30.46	11	0 8 0
33.85	10	2 4 2
43.37	19	2 8 2
51.10	15	4 4 2


(3)
NpS2O12: calculated X-ray powder pattern (Cu Kα, 1.54184 Å), based on a PBE-relaxed structure.
Neutral-atom scattering factors, no anomalous dispersion.

Cell and atoms:
```
data_NpS2O12
_symmetry_space_group_name_H-M 'P n m a'
_symmetry_Int_Tables_number 62
_symmetry_space_group_name_Hall '-P 2ac 2n'
_cell_length_a 14.3866
_cell_length_b 11.9286
_cell_length_c 5.6834
_cell_angle_alpha 90.00
_cell_angle_beta 90.00
_cell_angle_gamma 90.00
loop_
_atom_site_label
_atom_site_type_symbol
_atom_site_fract_x
_atom_site_fract_y
_atom_site_fract_z
_atom_site_occupancy
Np1 Np 0.1597 0.2500 0.1181 1
S1 S 0.1480 0.5618 0.3831 1
O1 O 0.0562 0.2500 0.3122 1
O2 O 0.0885 0.5789 0.5922 1
O3 O 0.0899 0.1554 0.9332 1
O4 O 0.0966 0.6063 0.1786 1
O5 O 0.1704 0.0582 0.3586 1
O6 O 0.2387 0.6245 0.4017 1
O7 O 0.2406 0.7500 0.8020 1
```

Most intense lines, 10 to 90 degrees two-theta, by angle:
2theta	I/Imax	index
12.30	33	2 0 0
14.38	92	2 1 0
14.85	35	0 2 0
17.28	35	0 1 1
18.36	100	1 1 1
19.91	62	2 0 1
22.48	36	1 2 1
25.60	67	2 3 0
28.59	53	3 2 1
37.55	34	3 1 2


Copy entry 3 word for word.
NpS2O12: calculated X-ray powder pattern (Cu Kα, 1.54184 Å), based on a PBE-relaxed structure.
Neutral-atom scattering factors, no anomalous dispersion.

Cell and atoms:
```
data_NpS2O12
_symmetry_space_group_name_H-M 'P n m a'
_symmetry_Int_Tables_number 62
_symmetry_space_group_name_Hall '-P 2ac 2n'
_cell_length_a 14.3866
_cell_length_b 11.9286
_cell_length_c 5.6834
_cell_angle_alpha 90.00
_cell_angle_beta 90.00
_cell_angle_gamma 90.00
loop_
_atom_site_label
_atom_site_type_symbol
_atom_site_fract_x
_atom_site_fract_y
_atom_site_fract_z
_atom_site_occupancy
Np1 Np 0.1597 0.2500 0.1181 1
S1 S 0.1480 0.5618 0.3831 1
O1 O 0.0562 0.2500 0.3122 1
O2 O 0.0885 0.5789 0.5922 1
O3 O 0.0899 0.1554 0.9332 1
O4 O 0.0966 0.6063 0.1786 1
O5 O 0.1704 0.0582 0.3586 1
O6 O 0.2387 0.6245 0.4017 1
O7 O 0.2406 0.7500 0.8020 1
```

Most intense lines, 10 to 90 degrees two-theta, by angle:
2theta	I/Imax	index
12.30	33	2 0 0
14.38	92	2 1 0
14.85	35	0 2 0
17.28	35	0 1 1
18.36	100	1 1 1
19.91	62	2 0 1
22.48	36	1 2 1
25.60	67	2 3 0
28.59	53	3 2 1
37.55	34	3 1 2